The following is a simulated X-ray diffraction stick pattern of YGe2Rh4. It was derived from a DFT-relaxed cell (PBE, Alexandria), using Cu Kα (weighted mean of Kα1 and Kα2).

The 12 most intense peaks (2θ = 10–90°), by angle:
d (Å)  I/Imax  hkl
2.423  1000  1 1 3
2.415  488  3 1 2
2.393  253  3 0 3
2.377  617  4 1 0
2.301  526  0 0 4
2.277  374  2 1 3
2.111  760  0 2 0
1.973  519  5 1 1
1.583  137  3 2 3
1.287  144  4 1 6
1.270  183  1 3 3
1.225  158  7 0 5

Lattice parameters (Å, degrees): 11.508 4.222 9.186 90.00 90.00 90.00
Space group Pnma (No. 62)
Inequivalent atoms, fractional coordinates:
Y  0.174  0.250  0.149 x4
Ge  0.059  0.750  0.382 x4
Ge  0.139  0.750  0.915 x4
Rh  0.002  0.250  0.884 x4
Rh  0.061  0.750  0.671 x4
Rh  0.155  0.250  0.497 x4
Rh  0.230  0.250  0.811 x4